Entry 1:
Starting from a GGA-PBE-relaxed structure, the XRD peak list of EuSn2Pd2 was simulated for Cu Kα X-rays.

Crystal structure
```
data_EuSn2Pd2
_chemical_formula_sum 'Eu2 Sn4 Pd4'
_space_group_name_H-M_alt 'P 1'
_space_group_IT_number 1
_space_group_name_Hall 'P 1'
_cell_length_a 4.7126
_cell_length_b 4.7126
_cell_length_c 10.6877
_cell_angle_alpha 90.00
_cell_angle_beta 90.00
_cell_angle_gamma 90.00
loop_
_atom_site_label
_atom_site_fract_x
_atom_site_fract_y
_atom_site_fract_z
_atom_site_occupancy
Eu1 0.2500 0.2500 0.2453 1
Eu2 0.7500 0.7500 0.7547 1
Sn1 0.2500 0.2500 0.8798 1
Sn2 0.2500 0.7500 0.5000 1
Sn3 0.7500 0.2500 0.5000 1
Sn4 0.7500 0.7500 0.1202 1
Pd1 0.2500 0.2500 0.6317 1
Pd2 0.2500 0.7500 0.0000 1
Pd3 0.7500 0.2500 0.0000 1
Pd4 0.7500 0.7500 0.3683 1
```

The 12 most intense peaks (2θ = 10–80°), sorted by position:
Position (°2θ), d/Å, intensity
26.75, 3.332, 12.1
31.48, 2.842, 66.7
31.64, 2.828, 100.0
38.19, 2.356, 76.5
43.41, 2.085, 26.7
46.66, 1.947, 22.7
50.30, 1.814, 36.0
55.12, 1.666, 26.8
58.78, 1.571, 16.4
61.82, 1.501, 19.6
64.94, 1.436, 33.8
72.65, 1.302, 11.9



Entry 2:
Starting from a GGA-PBE-relaxed structure, the XRD peak list of EuTl2Pd was simulated for Cu Kα X-rays.

Crystal structure
```
data_EuTl2Pd
_chemical_formula_sum 'Eu4 Tl8 Pd4'
_space_group_name_H-M_alt 'P 1'
_space_group_IT_number 1
_space_group_name_Hall 'P 1'
_cell_length_a 4.3517
_cell_length_b 11.1161
_cell_length_c 8.5606
_cell_angle_alpha 90.00
_cell_angle_beta 90.00
_cell_angle_gamma 90.00
loop_
_atom_site_label
_atom_site_fract_x
_atom_site_fract_y
_atom_site_fract_z
_atom_site_occupancy
Eu1 0.0000 0.0657 0.2500 1
Eu2 0.0000 0.9343 0.7500 1
Eu3 0.5000 0.4343 0.7500 1
Eu4 0.5000 0.5657 0.2500 1
Tl1 0.0000 0.3568 0.0489 1
Tl2 0.0000 0.3568 0.4511 1
Tl3 0.0000 0.6432 0.5489 1
Tl4 0.0000 0.6432 0.9511 1
Tl5 0.5000 0.1432 0.5489 1
Tl6 0.5000 0.1432 0.9511 1
Tl7 0.5000 0.8568 0.0489 1
Tl8 0.5000 0.8568 0.4511 1
Pd1 0.0000 0.2222 0.7500 1
Pd2 0.0000 0.7778 0.2500 1
Pd3 0.5000 0.2778 0.2500 1
Pd4 0.5000 0.7222 0.7500 1
```

The 12 most intense peaks (2θ = 10–80°), sorted by position:
Position (°2θ), d/Å, intensity
30.38, 2.943, 100.0
31.72, 2.821, 43.2
33.44, 2.679, 50.2
33.91, 2.643, 21.8
35.36, 2.539, 38.0
38.21, 2.356, 37.2
38.61, 2.332, 61.6
41.50, 2.176, 36.0
55.63, 1.652, 21.1
56.58, 1.627, 19.2
57.99, 1.591, 16.5
62.23, 1.492, 21.2



Entry 3:
Starting from a GGA-PBE-relaxed structure, the XRD peak list of PmEu3 was simulated for Cu Kα X-rays.

Crystal structure
```
data_PmEu3
_chemical_formula_sum 'Pm2 Eu6'
_space_group_name_H-M_alt 'P 1'
_space_group_IT_number 1
_space_group_name_Hall 'P 1'
_cell_length_a 7.6393
_cell_length_b 7.6393
_cell_length_c 6.1759
_cell_angle_alpha 90.00
_cell_angle_beta 90.00
_cell_angle_gamma 120.00
loop_
_atom_site_label
_atom_site_fract_x
_atom_site_fract_y
_atom_site_fract_z
_atom_site_occupancy
Pm1 0.3333 0.6667 0.2500 1
Pm2 0.6667 0.3333 0.7500 1
Eu1 0.1696 0.3391 0.7500 1
Eu2 0.1696 0.8304 0.7500 1
Eu3 0.3391 0.1696 0.2500 1
Eu4 0.6609 0.8304 0.7500 1
Eu5 0.8304 0.1696 0.2500 1
Eu6 0.8304 0.6609 0.2500 1
```

The 12 most intense peaks (2θ = 10–80°), sorted by position:
Position (°2θ), d/Å, intensity
26.95, 3.308, 23.1
28.91, 3.088, 25.9
30.66, 2.916, 100.0
39.94, 2.257, 16.3
47.61, 1.910, 19.6
52.35, 1.748, 22.3
56.67, 1.624, 23.3
57.70, 1.598, 16.5
63.84, 1.458, 4.1
73.44, 1.289, 8.1
77.97, 1.225, 13.8
79.89, 1.201, 8.7



Entry 4:
Starting from a GGA-PBE-relaxed structure, the XRD peak list of PmEuPt2 was simulated for Cu Kα X-rays.

Crystal structure
```
data_PmEuPt2
_chemical_formula_sum 'Pm4 Eu4 Pt8'
_space_group_name_H-M_alt 'P 1'
_space_group_IT_number 1
_space_group_name_Hall 'P 1'
_cell_length_a 7.2474
_cell_length_b 7.2474
_cell_length_c 7.2474
_cell_angle_alpha 90.00
_cell_angle_beta 90.00
_cell_angle_gamma 90.00
loop_
_atom_site_label
_atom_site_fract_x
_atom_site_fract_y
_atom_site_fract_z
_atom_site_occupancy
Pm1 0.0000 0.0000 0.0000 1
Pm2 0.0000 0.5000 0.5000 1
Pm3 0.5000 0.0000 0.5000 1
Pm4 0.5000 0.5000 0.0000 1
Eu1 0.0000 0.0000 0.5000 1
Eu2 0.0000 0.5000 0.0000 1
Eu3 0.5000 0.0000 0.0000 1
Eu4 0.5000 0.5000 0.5000 1
Pt1 0.2500 0.2500 0.2500 1
Pt2 0.2500 0.2500 0.7500 1
Pt3 0.2500 0.7500 0.2500 1
Pt4 0.2500 0.7500 0.7500 1
Pt5 0.7500 0.2500 0.2500 1
Pt6 0.7500 0.2500 0.7500 1
Pt7 0.7500 0.7500 0.2500 1
Pt8 0.7500 0.7500 0.7500 1
```

The 7 most intense peaks (2θ = 10–80°), sorted by position:
Position (°2θ), d/Å, intensity
24.57, 3.624, 1.8
35.02, 2.562, 100.0
43.24, 2.092, 0.6
50.36, 1.812, 18.0
56.81, 1.621, 0.8
62.81, 1.479, 37.2
73.99, 1.281, 11.6



Entry 5:
Starting from a GGA-PBE-relaxed structure, the XRD peak list of PmEuRh2 was simulated for Cu Kα X-rays.

Crystal structure
```
data_PmEuRh2
_chemical_formula_sum 'Pm4 Eu4 Rh8'
_space_group_name_H-M_alt 'P 1'
_space_group_IT_number 1
_space_group_name_Hall 'P 1'
_cell_length_a 7.0266
_cell_length_b 7.0266
_cell_length_c 7.0266
_cell_angle_alpha 90.00
_cell_angle_beta 90.00
_cell_angle_gamma 90.00
loop_
_atom_site_label
_atom_site_fract_x
_atom_site_fract_y
_atom_site_fract_z
_atom_site_occupancy
Pm1 0.0000 0.0000 0.0000 1
Pm2 0.0000 0.5000 0.5000 1
Pm3 0.5000 0.0000 0.5000 1
Pm4 0.5000 0.5000 0.0000 1
Eu1 0.0000 0.0000 0.5000 1
Eu2 0.0000 0.5000 0.0000 1
Eu3 0.5000 0.0000 0.0000 1
Eu4 0.5000 0.5000 0.5000 1
Rh1 0.2500 0.2500 0.2500 1
Rh2 0.2500 0.2500 0.7500 1
Rh3 0.2500 0.7500 0.2500 1
Rh4 0.2500 0.7500 0.7500 1
Rh5 0.7500 0.2500 0.2500 1
Rh6 0.7500 0.2500 0.7500 1
Rh7 0.7500 0.7500 0.2500 1
Rh8 0.7500 0.7500 0.7500 1
```

The 7 most intense peaks (2θ = 10–80°), sorted by position:
Position (°2θ), d/Å, intensity
25.35, 3.513, 3.5
36.16, 2.484, 100.0
44.67, 2.028, 1.1
52.06, 1.757, 17.4
58.77, 1.571, 1.5
65.03, 1.434, 35.5
76.73, 1.242, 11.0



Entry 6:
Starting from a GGA-PBE-relaxed structure, the XRD peak list of PrEu3 was simulated for Cu Kα X-rays.

Crystal structure
```
data_PrEu3
_chemical_formula_sum 'Pr2 Eu6'
_space_group_name_H-M_alt 'P 1'
_space_group_IT_number 1
_space_group_name_Hall 'P 1'
_cell_length_a 7.7530
_cell_length_b 7.7530
_cell_length_c 6.2598
_cell_angle_alpha 90.00
_cell_angle_beta 90.00
_cell_angle_gamma 120.00
loop_
_atom_site_label
_atom_site_fract_x
_atom_site_fract_y
_atom_site_fract_z
_atom_site_occupancy
Pr1 0.3333 0.6667 0.2500 1
Pr2 0.6667 0.3333 0.7500 1
Eu1 0.1693 0.3387 0.7500 1
Eu2 0.1693 0.8307 0.7500 1
Eu3 0.3387 0.1693 0.2500 1
Eu4 0.6613 0.8307 0.7500 1
Eu5 0.8307 0.1693 0.2500 1
Eu6 0.8307 0.6613 0.2500 1
```

The 12 most intense peaks (2θ = 10–80°), sorted by position:
Position (°2θ), d/Å, intensity
26.55, 3.357, 23.1
28.52, 3.130, 25.8
30.21, 2.959, 100.0
39.36, 2.289, 16.4
46.87, 1.938, 19.7
51.57, 1.772, 22.4
55.79, 1.648, 23.5
56.78, 1.621, 16.7
62.82, 1.479, 4.1
72.23, 1.308, 8.2
76.62, 1.244, 13.9
78.56, 1.218, 8.7



Entry 7:
Starting from a GGA-PBE-relaxed structure, the XRD peak list of Pr3Eu was simulated for Cu Kα X-rays.

Crystal structure
```
data_Pr3Eu
_chemical_formula_sum 'Pr6 Eu2'
_space_group_name_H-M_alt 'P 1'
_space_group_IT_number 1
_space_group_name_Hall 'P 1'
_cell_length_a 5.4726
_cell_length_b 5.4726
_cell_length_c 11.1697
_cell_angle_alpha 90.00
_cell_angle_beta 90.00
_cell_angle_gamma 90.00
loop_
_atom_site_label
_atom_site_fract_x
_atom_site_fract_y
_atom_site_fract_z
_atom_site_occupancy
Pr1 0.0000 0.0000 0.0000 1
Pr2 0.0000 0.5000 0.2500 1
Pr3 0.0000 0.5000 0.7500 1
Pr4 0.5000 0.0000 0.2500 1
Pr5 0.5000 0.0000 0.7500 1
Pr6 0.5000 0.5000 0.5000 1
Eu1 0.0000 0.0000 0.5000 1
Eu2 0.5000 0.5000 0.0000 1
```

The 12 most intense peaks (2θ = 10–80°), sorted by position:
Position (°2θ), d/Å, intensity
28.05, 3.181, 100.0
32.05, 2.792, 17.7
32.73, 2.736, 33.5
46.46, 1.954, 25.2
46.96, 1.935, 12.2
54.72, 1.678, 15.5
55.60, 1.653, 29.5
57.99, 1.590, 13.0
74.92, 1.268, 12.2
75.67, 1.257, 5.9
76.61, 1.244, 5.7
77.73, 1.229, 5.5



Entry 8:
Starting from a GGA-PBE-relaxed structure, the XRD peak list of EuPt2 was simulated for Cu Kα X-rays.

Crystal structure
```
data_EuPt2
_chemical_formula_sum 'Eu2 Pt4'
_space_group_name_H-M_alt 'P 1'
_space_group_IT_number 1
_space_group_name_Hall 'P 1'
_cell_length_a 5.5376
_cell_length_b 5.5376
_cell_length_c 5.5376
_cell_angle_alpha 60.00
_cell_angle_beta 60.00
_cell_angle_gamma 60.00
loop_
_atom_site_label
_atom_site_fract_x
_atom_site_fract_y
_atom_site_fract_z
_atom_site_occupancy
Eu1 0.1250 0.1250 0.1250 1
Eu2 0.8750 0.8750 0.8750 1
Pt1 0.0000 0.5000 0.5000 1
Pt2 0.5000 0.0000 0.5000 1
Pt3 0.5000 0.5000 0.0000 1
Pt4 0.5000 0.5000 0.5000 1
```

The 11 most intense peaks (2θ = 10–80°), sorted by position:
Position (°2θ), d/Å, intensity
19.63, 4.521, 13.7
32.33, 2.769, 20.3
38.11, 2.361, 100.0
39.88, 2.261, 48.1
46.38, 1.958, 8.6
50.82, 1.797, 3.5
57.67, 1.599, 7.7
61.53, 1.507, 33.2
67.68, 1.384, 30.1
71.24, 1.324, 2.6
77.01, 1.238, 3.4



Entry 9:
Starting from a GGA-PBE-relaxed structure, the XRD peak list of Eu4Pt was simulated for Cu Kα X-rays.

Crystal structure
```
data_Eu4Pt
_chemical_formula_sum 'Eu8 Pt2'
_space_group_name_H-M_alt 'P 1'
_space_group_IT_number 1
_space_group_name_Hall 'P 1'
_cell_length_a 8.5822
_cell_length_b 8.5822
_cell_length_c 8.5822
_cell_angle_alpha 60.00
_cell_angle_beta 60.00
_cell_angle_gamma 60.00
loop_
_atom_site_label
_atom_site_fract_x
_atom_site_fract_y
_atom_site_fract_z
_atom_site_occupancy
Eu1 0.2278 0.7574 0.7574 1
Eu2 0.2426 0.2426 0.2426 1
Eu3 0.2426 0.2426 0.7722 1
Eu4 0.2426 0.7722 0.2426 1
Eu5 0.7574 0.2278 0.7574 1
Eu6 0.7574 0.7574 0.2278 1
Eu7 0.7574 0.7574 0.7574 1
Eu8 0.7722 0.2426 0.2426 1
Pt1 0.3750 0.3750 0.3750 1
Pt2 0.6250 0.6250 0.6250 1
```

The 12 most intense peaks (2θ = 10–80°), sorted by position:
Position (°2θ), d/Å, intensity
12.63, 7.007, 11.7
20.70, 4.291, 26.0
24.32, 3.659, 13.4
25.42, 3.504, 100.0
29.44, 3.034, 24.0
32.15, 2.784, 19.1
36.26, 2.477, 11.4
38.54, 2.336, 15.2
42.12, 2.146, 66.5
49.84, 1.830, 45.1
67.25, 1.392, 17.2
76.98, 1.239, 20.6



Entry 10:
Starting from a GGA-PBE-relaxed structure, the XRD peak list of Eu5Pt2 was simulated for Cu Kα X-rays.

Crystal structure
```
data_Eu5Pt2
_chemical_formula_sum 'Eu10 Pt4'
_space_group_name_H-M_alt 'P 1'
_space_group_IT_number 1
_space_group_name_Hall 'P 1'
_cell_length_a 9.0690
_cell_length_b 9.0690
_cell_length_c 7.8322
_cell_angle_alpha 96.98
_cell_angle_beta 96.98
_cell_angle_gamma 44.00
loop_
_atom_site_label
_atom_site_fract_x
_atom_site_fract_y
_atom_site_fract_z
_atom_site_occupancy
Eu1 0.0789 0.9211 0.7500 1
Eu2 0.1389 0.2965 0.3182 1
Eu3 0.2965 0.1389 0.8182 1
Eu4 0.2984 0.5190 0.0798 1
Eu5 0.4810 0.7016 0.4202 1
Eu6 0.5190 0.2984 0.5798 1
Eu7 0.7016 0.4810 0.9202 1
Eu8 0.7035 0.8611 0.1818 1
Eu9 0.8611 0.7035 0.6818 1
Eu10 0.9211 0.0789 0.2500 1
Pt1 0.0977 0.6834 0.4193 1
Pt2 0.3166 0.9023 0.0807 1
Pt3 0.6834 0.0977 0.9193 1
Pt4 0.9023 0.3166 0.5807 1
```

The 12 most intense peaks (2θ = 10–80°), sorted by position:
Position (°2θ), d/Å, intensity
18.58, 4.775, 90.1
28.68, 3.113, 64.0
29.35, 3.043, 100.0
29.85, 2.993, 83.6
30.11, 2.968, 55.4
31.20, 2.867, 75.4
32.60, 2.747, 63.0
33.32, 2.689, 79.8
33.54, 2.672, 59.6
35.08, 2.558, 74.6
36.89, 2.436, 87.8
37.24, 2.414, 56.0



Entry 11:
Starting from a GGA-PBE-relaxed structure, the XRD peak list of Eu5Pt4 was simulated for Cu Kα X-rays.

Crystal structure
```
data_Eu5Pt4
_chemical_formula_sum 'Eu20 Pt16'
_space_group_name_H-M_alt 'P 1'
_space_group_IT_number 1
_space_group_name_Hall 'P 1'
_cell_length_a 7.7556
_cell_length_b 15.2854
_cell_length_c 7.9365
_cell_angle_alpha 90.00
_cell_angle_beta 90.00
_cell_angle_gamma 90.00
loop_
_atom_site_label
_atom_site_fract_x
_atom_site_fract_y
_atom_site_fract_z
_atom_site_occupancy
Eu1 0.0006 0.0940 0.1802 1
Eu2 0.0006 0.4060 0.1802 1
Eu3 0.1570 0.6223 0.3330 1
Eu4 0.1570 0.8777 0.3330 1
Eu5 0.1827 0.2500 0.4892 1
Eu6 0.3173 0.7500 0.9892 1
Eu7 0.3430 0.1223 0.8330 1
Eu8 0.3430 0.3777 0.8330 1
Eu9 0.4994 0.5940 0.6802 1
Eu10 0.4994 0.9060 0.6802 1
Eu11 0.5006 0.0940 0.3198 1
Eu12 0.5006 0.4060 0.3198 1
Eu13 0.6570 0.6223 0.1670 1
Eu14 0.6570 0.8777 0.1670 1
Eu15 0.6827 0.2500 0.0108 1
Eu16 0.8173 0.7500 0.5108 1
Eu17 0.8430 0.1223 0.6670 1
Eu18 0.8430 0.3777 0.6670 1
Eu19 0.9994 0.5940 0.8198 1
Eu20 0.9994 0.9060 0.8198 1
Pt1 0.0498 0.2500 0.8914 1
Pt2 0.1774 0.0407 0.5325 1
Pt3 0.1774 0.4593 0.5325 1
Pt4 0.1932 0.7500 0.6359 1
Pt5 0.3068 0.2500 0.1359 1
Pt6 0.3226 0.5407 0.0325 1
Pt7 0.3226 0.9593 0.0325 1
Pt8 0.4502 0.7500 0.3914 1
Pt9 0.5498 0.2500 0.6086 1
Pt10 0.6774 0.0407 0.9675 1
Pt11 0.6774 0.4593 0.9675 1
Pt12 0.6932 0.7500 0.8641 1
Pt13 0.8068 0.2500 0.3641 1
Pt14 0.8226 0.5407 0.4675 1
Pt15 0.8226 0.9593 0.4675 1
Pt16 0.9502 0.7500 0.1086 1
```

The 12 most intense peaks (2θ = 10–80°), sorted by position:
Position (°2θ), d/Å, intensity
30.80, 2.903, 100.0
31.10, 2.876, 84.9
32.53, 2.753, 43.7
32.85, 2.727, 31.5
33.47, 2.677, 28.5
34.58, 2.594, 27.8
34.85, 2.575, 33.5
35.23, 2.548, 30.0
36.36, 2.471, 50.2
36.56, 2.458, 76.6
37.46, 2.401, 24.0
51.71, 1.768, 26.8



Entry 12:
Starting from a GGA-PBE-relaxed structure, the XRD peak list of EuSbPt was simulated for Cu Kα X-rays.

Crystal structure
```
data_EuSbPt
_chemical_formula_sum 'Eu4 Sb4 Pt4'
_space_group_name_H-M_alt 'P 1'
_space_group_IT_number 1
_space_group_name_Hall 'P 1'
_cell_length_a 7.5903
_cell_length_b 4.6800
_cell_length_c 8.0094
_cell_angle_alpha 90.00
_cell_angle_beta 90.00
_cell_angle_gamma 90.00
loop_
_atom_site_label
_atom_site_fract_x
_atom_site_fract_y
_atom_site_fract_z
_atom_site_occupancy
Eu1 0.0087 0.2500 0.1959 1
Eu2 0.4913 0.7500 0.6959 1
Eu3 0.5087 0.2500 0.3041 1
Eu4 0.9913 0.7500 0.8041 1
Sb1 0.1839 0.2500 0.5903 1
Sb2 0.3161 0.7500 0.0903 1
Sb3 0.6839 0.2500 0.9097 1
Sb4 0.8161 0.7500 0.4097 1
Pt1 0.1954 0.7500 0.4142 1
Pt2 0.3046 0.2500 0.9142 1
Pt3 0.6954 0.7500 0.0858 1
Pt4 0.8046 0.2500 0.5858 1
```

The 12 most intense peaks (2θ = 10–80°), sorted by position:
Position (°2θ), d/Å, intensity
31.68, 2.824, 59.2
32.36, 2.766, 100.0
32.50, 2.755, 35.3
37.27, 2.413, 40.9
38.47, 2.340, 49.0
38.83, 2.319, 67.4
46.69, 1.945, 12.4
51.22, 1.783, 19.6
54.64, 1.680, 27.1
62.38, 1.489, 30.3
65.76, 1.420, 13.3
69.16, 1.358, 20.7



Entry 13:
Starting from a GGA-PBE-relaxed structure, the XRD peak list of EuSi2Pt2 was simulated for Cu Kα X-rays.

Crystal structure
```
data_EuSi2Pt2
_chemical_formula_sum 'Eu2 Si4 Pt4'
_space_group_name_H-M_alt 'P 1'
_space_group_IT_number 1
_space_group_name_Hall 'P 1'
_cell_length_a 4.2674
_cell_length_b 4.2674
_cell_length_c 9.9903
_cell_angle_alpha 90.00
_cell_angle_beta 90.00
_cell_angle_gamma 90.00
loop_
_atom_site_label
_atom_site_fract_x
_atom_site_fract_y
_atom_site_fract_z
_atom_site_occupancy
Eu1 0.0000 0.0000 0.0000 1
Eu2 0.5000 0.5000 0.5000 1
Si1 0.0000 0.0000 0.3777 1
Si2 0.0000 0.0000 0.6223 1
Si3 0.5000 0.5000 0.1223 1
Si4 0.5000 0.5000 0.8777 1
Pt1 0.0000 0.5000 0.2500 1
Pt2 0.0000 0.5000 0.7500 1
Pt3 0.5000 0.0000 0.2500 1
Pt4 0.5000 0.0000 0.7500 1
```

The 12 most intense peaks (2θ = 10–80°), sorted by position:
Position (°2θ), d/Å, intensity
17.76, 4.995, 23.3
22.66, 3.924, 12.0
34.15, 2.625, 13.3
34.73, 2.583, 100.0
35.96, 2.498, 18.1
42.36, 2.134, 35.1
47.24, 1.924, 12.1
56.75, 1.622, 19.8
61.46, 1.509, 11.8
63.85, 1.458, 16.9
72.56, 1.303, 24.0
73.30, 1.291, 9.3



Entry 14:
Starting from a GGA-PBE-relaxed structure, the XRD peak list of EuSnPt was simulated for Cu Kα X-rays.

Crystal structure
```
data_EuSnPt
_chemical_formula_sum 'Eu4 Sn4 Pt4'
_space_group_name_H-M_alt 'P 1'
_space_group_IT_number 1
_space_group_name_Hall 'P 1'
_cell_length_a 7.5886
_cell_length_b 4.7196
_cell_length_c 8.0351
_cell_angle_alpha 90.00
_cell_angle_beta 90.00
_cell_angle_gamma 90.00
loop_
_atom_site_label
_atom_site_fract_x
_atom_site_fract_y
_atom_site_fract_z
_atom_site_occupancy
Eu1 0.0194 0.2500 0.1832 1
Eu2 0.4806 0.7500 0.6832 1
Eu3 0.5194 0.2500 0.3168 1
Eu4 0.9806 0.7500 0.8168 1
Sn1 0.1644 0.2500 0.5753 1
Sn2 0.3356 0.7500 0.0753 1
Sn3 0.6644 0.2500 0.9247 1
Sn4 0.8356 0.7500 0.4247 1
Pt1 0.2052 0.7500 0.3953 1
Pt2 0.2948 0.2500 0.8953 1
Pt3 0.7052 0.7500 0.1047 1
Pt4 0.7948 0.2500 0.6047 1
```

The 12 most intense peaks (2θ = 10–80°), sorted by position:
Position (°2θ), d/Å, intensity
31.53, 2.837, 72.0
32.26, 2.775, 100.0
32.46, 2.759, 21.9
37.27, 2.413, 39.1
38.14, 2.360, 51.0
38.65, 2.329, 53.4
45.70, 1.985, 14.7
50.92, 1.793, 14.1
54.38, 1.687, 26.7
62.21, 1.492, 28.8
65.24, 1.430, 13.4
69.09, 1.360, 17.1